No. 1
Theoretical X-ray powder pattern
Compound: Ca3Er2Cd3
Radiation: copper Kα
Structure: a crystal structure in Alexandria, relaxed with PBE

```
data_Ca3Er2Cd3
_chemical_formula_sum 'Ca6 Er4 Cd6'
_symmetry_space_group_name_H-M 'I m m m'
_symmetry_Int_Tables_number 71
_symmetry_space_group_name_Hall '-I 2 2'
_cell_length_a 3.7510
_cell_length_b 5.4885
_cell_length_c 22.6292
_cell_angle_alpha 90.00
_cell_angle_beta 90.00
_cell_angle_gamma 90.00
loop_
_atom_site_label
_atom_site_fract_x
_atom_site_fract_y
_atom_site_fract_z
Ca1 0.0000 0.0000 0.0000
Ca2 0.0000 0.5000 0.1222
Er1 0.0000 0.0000 0.2329
Cd1 0.0000 0.0000 0.5000
Cd2 0.0000 0.5000 0.3788
```

Largest 12 diffraction maxima, sorted by position, 2θ = 10–80°:
2θ = 20.01°, d = 4.438 Å, rel. 21; 2θ = 31.63°, d = 2.829 Å, rel. 22; 2θ = 32.63°, d = 2.744 Å, rel. 28; 2θ = 32.97°, d = 2.716 Å, rel. 100; 2θ = 36.70°, d = 2.449 Å, rel. 9; 2θ = 46.08°, d = 1.970 Å, rel. 15; 2θ = 48.54°, d = 1.875 Å, rel. 9; 2θ = 49.91°, d = 1.827 Å, rel. 8; 2θ = 57.19°, d = 1.611 Å, rel. 10; 2θ = 58.45°, d = 1.579 Å, rel. 21; 2θ = 59.72°, d = 1.548 Å, rel. 9; 2θ = 69.16°, d = 1.358 Å, rel. 9

***

No. 2
Theoretical X-ray powder pattern
Compound: Ca2ErCd2
Radiation: copper Kα
Structure: a crystal structure in Alexandria, relaxed with PBE

```
data_Ca2ErCd2
_chemical_formula_sum 'Ca4 Er2 Cd4'
_symmetry_space_group_name_H-M 'C m m m'
_symmetry_Int_Tables_number 65
_symmetry_space_group_name_Hall '-C 2 2'
_cell_length_a 3.7837
_cell_length_b 21.9537
_cell_length_c 3.6741
_cell_angle_alpha 90.00
_cell_angle_beta 90.00
_cell_angle_gamma 90.00
loop_
_atom_site_label
_atom_site_fract_x
_atom_site_fract_y
_atom_site_fract_z
Ca1 0.0000 0.1733 0.0000
Er1 0.0000 0.0000 0.0000
Cd1 0.0000 0.4167 0.5000
```

Largest 12 diffraction maxima, sorted by position, 2θ = 10–80°:
2θ = 29.25°, d = 3.053 Å, rel. 29; 2θ = 31.21°, d = 2.866 Å, rel. 70; 2θ = 34.26°, d = 2.617 Å, rel. 100; 2θ = 34.60°, d = 2.593 Å, rel. 68; 2θ = 37.24°, d = 2.415 Å, rel. 36; 2θ = 41.08°, d = 2.197 Å, rel. 16; 2θ = 48.10°, d = 1.892 Å, rel. 13; 2θ = 49.63°, d = 1.837 Å, rel. 12; 2θ = 57.96°, d = 1.591 Å, rel. 24; 2θ = 59.79°, d = 1.547 Å, rel. 21; 2θ = 60.59°, d = 1.528 Å, rel. 26; 2θ = 63.65°, d = 1.462 Å, rel. 14